For Na2Cr2CoO6, a PBE+U-relaxed structure gives the computed powder diffraction line list in this record (Cu Kα (λ = 1.5418 Å)).

Main lines, by angle (15° ≤ 2θ ≤ 90°):
Position (°2θ)	I/Imax
16.11	100.0
32.55	13.9
36.05	10.5
37.50	12.7
41.83	54.7
41.96	27.8
52.90	10.5
56.59	7.8
58.17	14.4
63.25	14.1

Crystal structure
```
data_Na2Cr2CoO6
_chemical_formula_sum 'Na2 Cr2 Co1 O6'
_space_group_name_H-M_alt 'P 1'
_space_group_IT_number 1
_cell_length_a 5.0327
_cell_length_b 5.0327
_cell_length_c 5.7222
_cell_angle_alpha 98.05
_cell_angle_beta 98.05
_cell_angle_gamma 118.77
loop_
_space_group_symop_operation_xyz
'x,y,z'
loop_
_atom_site_label
_atom_site_type_symbol
_atom_site_fract_x
_atom_site_fract_y
_atom_site_fract_z
Na1 Na 0.1687 0.8313 0.0000
Na2 Na 0.8313 0.1687 0.0000
Cr1 Cr 0.3403 0.6597 0.5000
Cr2 Cr 0.6597 0.3403 0.5000
Co1 Co 0.0000 0.0000 0.5000
O1 O 0.0503 0.3834 0.6837
O2 O 0.2572 0.2572 0.3065
O3 O 0.3834 0.0503 0.6837
O4 O 0.6166 0.9497 0.3163
O5 O 0.7428 0.7428 0.6935
O6 O 0.9497 0.6166 0.3163
```